Entry 1:
This entry pairs a crystal structure of FeTeCl2 with its simulated powder diffraction line list. Radiation: Cu Ka. Structure: a PBE-relaxed structure.
Intensities are scaled so that the largest is 1000.

Structure:
```
data_FeTeCl2
_chemical_formula_sum 'Fe1 Te1 Cl2'
_cell_length_a 6.7555
_cell_length_b 6.7555
_cell_length_c 6.7512
_cell_angle_alpha 113.92
_cell_angle_beta 113.92
_cell_angle_gamma 26.40
_space_group_name_H-M_alt 'P 1'
_space_group_IT_number 1
_space_group_name_Hall 'P 1'
loop_
_atom_site_label
_atom_site_fract_x
_atom_site_fract_y
_atom_site_fract_z
_atom_site_occupancy
Fe1 0.0000 0.0000 0.0000 1
Te1 0.3478 0.3478 0.6719 1
Cl1 0.4755 0.4755 0.2467 1
Cl2 0.6389 0.6389 0.0009 1
```

Peak list (10 most intense, 10 to 80 degrees two-theta, in order of rising 2θ)
d 6.138, 2θ 14.43, I 295
d 5.980, 2θ 14.81, I 441
d 5.606, 2θ 15.81, I 1000
d 3.599, 2θ 24.74, I 341
d 3.357, 2θ 26.56, I 255
d 3.279, 2θ 27.20, I 270
d 2.582, 2θ 34.74, I 264
d 2.440, 2θ 36.84, I 284
d 2.261, 2θ 39.86, I 270
d 2.001, 2θ 45.31, I 261

Entry 2:
This entry pairs a crystal structure of Th4FeCl5 with its simulated powder diffraction line list. Radiation: Cu Ka. Structure: a PBE-relaxed structure.
Intensities are scaled so that the largest is 1000.

Structure:
```
data_Th4FeCl5
_chemical_formula_sum 'Th4 Fe1 Cl5'
_cell_length_a 3.7352
_cell_length_b 8.6663
_cell_length_c 8.9879
_cell_angle_alpha 80.27
_cell_angle_beta 78.59
_cell_angle_gamma 88.54
_space_group_name_H-M_alt 'P 1'
_space_group_IT_number 1
_space_group_name_Hall 'P 1'
loop_
_atom_site_label
_atom_site_fract_x
_atom_site_fract_y
_atom_site_fract_z
_atom_site_occupancy
Th1 0.0128 0.2117 0.4949 1
Th2 0.3423 0.9481 0.8383 1
Th3 0.6577 0.0519 0.1617 1
Th4 0.9872 0.7883 0.5051 1
Fe1 0.5000 0.0000 0.5000 1
Cl1 0.1451 0.3126 0.1668 1
Cl2 0.1659 0.7852 0.1734 1
Cl3 0.5000 0.5000 0.5000 1
Cl4 0.8341 0.2148 0.8266 1
Cl5 0.8549 0.6874 0.8332 1
```

Peak list (10 most intense, 10 to 80 degrees two-theta, in order of rising 2θ)
d 8.686, 2θ 10.18, I 200
d 8.541, 2θ 10.36, I 1000
d 3.601, 2θ 24.72, I 169
d 3.159, 2θ 28.25, I 148
d 3.117, 2θ 28.64, I 143
d 2.895, 2θ 30.88, I 530
d 2.859, 2θ 31.29, I 292
d 2.791, 2θ 32.07, I 273
d 2.102, 2θ 43.02, I 127
d 1.971, 2θ 46.04, I 184

Entry 3:
This entry pairs a crystal structure of TiFe2Cl with its simulated powder diffraction line list. Radiation: Cu Ka. Structure: a PBE-relaxed structure.
Intensities are scaled so that the largest is 1000.

Structure:
```
data_TiFe2Cl
_chemical_formula_sum 'Ti1 Fe2 Cl1'
_cell_length_a 4.2604
_cell_length_b 4.2604
_cell_length_c 4.2604
_cell_angle_alpha 60.00
_cell_angle_beta 60.00
_cell_angle_gamma 60.00
_space_group_name_H-M_alt 'P 1'
_space_group_IT_number 1
_space_group_name_Hall 'P 1'
loop_
_atom_site_label
_atom_site_fract_x
_atom_site_fract_y
_atom_site_fract_z
_atom_site_occupancy
Ti1 0.0000 0.0000 0.0000 1
Fe1 0.2500 0.2500 0.2500 1
Fe2 0.7500 0.7500 0.7500 1
Cl1 0.5000 0.5000 0.5000 1
```

Peak list (7 most intense, 10 to 80 degrees two-theta, in order of rising 2θ)
d 3.479, 2θ 25.61, I 8
d 3.013, 2θ 29.65, I 41
d 2.130, 2θ 42.43, I 1000
d 1.739, 2θ 52.62, I 12
d 1.506, 2θ 61.57, I 149
d 1.347, 2θ 69.81, I 14
d 1.230, 2θ 77.63, I 286

Entry 4:
This entry pairs a crystal structure of Tl2FeCl5 with its simulated powder diffraction line list. Radiation: Cu Ka. Structure: a PBE-relaxed structure.
Intensities are scaled so that the largest is 1000.

Structure:
```
data_Tl2FeCl5
_chemical_formula_sum 'Tl2 Fe1 Cl5'
_cell_length_a 7.0446
_cell_length_b 7.0446
_cell_length_c 7.0446
_cell_angle_alpha 116.35
_cell_angle_beta 116.35
_cell_angle_gamma 96.45
_space_group_name_H-M_alt 'P 1'
_space_group_IT_number 1
_space_group_name_Hall 'P 1'
loop_
_atom_site_label
_atom_site_fract_x
_atom_site_fract_y
_atom_site_fract_z
_atom_site_occupancy
Tl1 0.0000 0.5000 0.5000 1
Tl2 0.5000 0.0000 0.5000 1
Fe1 0.2491 0.2491 0.0000 1
Cl1 0.4132 0.4132 0.4386 1
Cl2 0.4132 0.9746 0.0000 1
Cl3 0.4835 0.4835 0.0000 1
Cl4 0.9746 0.4132 0.0000 1
Cl5 0.9746 0.9746 0.5614 1
```

Peak list (10 most intense, 10 to 80 degrees two-theta, in order of rising 2θ)
d 5.254, 2θ 16.88, I 609
d 3.715, 2θ 23.95, I 403
d 3.500, 2θ 25.45, I 1000
d 2.913, 2θ 30.69, I 816
d 2.627, 2θ 34.13, I 496
d 2.348, 2θ 38.33, I 331
d 2.101, 2θ 43.05, I 473
d 1.984, 2θ 45.73, I 268
d 1.661, 2θ 55.32, I 243
d 1.566, 2θ 58.99, I 245

Entry 5:
This entry pairs a crystal structure of Tl3FeCl4 with its simulated powder diffraction line list. Radiation: Cu Ka. Structure: a PBE-relaxed structure.
Intensities are scaled so that the largest is 1000.

Structure:
```
data_Tl3FeCl4
_chemical_formula_sum 'Tl6 Fe2 Cl8'
_cell_length_a 11.9756
_cell_length_b 6.5085
_cell_length_c 6.4596
_cell_angle_alpha 90.00
_cell_angle_beta 90.00
_cell_angle_gamma 90.00
_space_group_name_H-M_alt 'P 1'
_space_group_IT_number 1
_space_group_name_Hall 'P 1'
loop_
_atom_site_label
_atom_site_fract_x
_atom_site_fract_y
_atom_site_fract_z
_atom_site_occupancy
Tl1 0.0000 0.1477 0.0000 1
Tl2 0.2494 0.7686 0.8894 1
Tl3 0.2506 0.2314 0.3894 1
Tl4 0.5000 0.8523 0.5000 1
Tl5 0.7494 0.2314 0.3894 1
Tl6 0.7506 0.7686 0.8894 1
Fe1 0.0000 0.8000 0.3119 1
Fe2 0.5000 0.2000 0.8119 1
Cl1 0.0000 0.1056 0.5096 1
Cl2 0.0000 0.6414 0.9856 1
Cl3 0.1863 0.7068 0.3942 1
Cl4 0.3137 0.2932 0.8942 1
Cl5 0.5000 0.3586 0.4856 1
Cl6 0.5000 0.8944 0.0096 1
Cl7 0.6863 0.2932 0.8942 1
Cl8 0.8137 0.7068 0.3942 1
```

Peak list (10 most intense, 10 to 80 degrees two-theta, in order of rising 2θ)
d 5.689, 2θ 15.58, I 198
d 3.640, 2θ 24.45, I 1000
d 3.254, 2θ 27.41, I 255
d 3.230, 2θ 27.62, I 293
d 2.994, 2θ 29.84, I 354
d 2.843, 2θ 31.47, I 208
d 2.615, 2θ 34.30, I 186
d 2.196, 2θ 41.11, I 157
d 2.141, 2θ 42.21, I 161
d 1.830, 2θ 49.83, I 230

Entry 6:
This entry pairs a crystal structure of TlFe3Cl12 with its simulated powder diffraction line list. Radiation: Cu Ka. Structure: a PBE-relaxed structure.
Intensities are scaled so that the largest is 1000.

Structure:
```
data_TlFe3Cl12
_chemical_formula_sum 'Tl2 Fe6 Cl24'
_cell_length_a 13.2984
_cell_length_b 13.2984
_cell_length_c 13.2984
_cell_angle_alpha 49.46
_cell_angle_beta 49.46
_cell_angle_gamma 49.46
_space_group_name_H-M_alt 'P 1'
_space_group_IT_number 1
_space_group_name_Hall 'P 1'
loop_
_atom_site_label
_atom_site_fract_x
_atom_site_fract_y
_atom_site_fract_z
_atom_site_occupancy
Tl1 0.0000 0.0000 0.0000 1
Tl2 0.5000 0.5000 0.5000 1
Fe1 0.0874 0.3789 0.7163 1
Fe2 0.2163 0.8789 0.5874 1
Fe3 0.3789 0.7163 0.0874 1
Fe4 0.5874 0.2163 0.8789 1
Fe5 0.7163 0.0874 0.3789 1
Fe6 0.8789 0.5874 0.2163 1
Cl1 0.0424 0.0822 0.5479 1
Cl2 0.0479 0.5822 0.5424 1
Cl3 0.0822 0.5479 0.0424 1
Cl4 0.1312 0.2327 0.6571 1
Cl5 0.1571 0.7327 0.6312 1
Cl6 0.2327 0.6571 0.1312 1
Cl7 0.2370 0.8501 0.7541 1
Cl8 0.2541 0.3501 0.7370 1
Cl9 0.3373 0.9328 0.9229 1
Cl10 0.3501 0.7370 0.2541 1
Cl11 0.4229 0.4328 0.8373 1
Cl12 0.4328 0.8373 0.4229 1
Cl13 0.5424 0.0479 0.5822 1
Cl14 0.5479 0.0424 0.0822 1
Cl15 0.5822 0.5424 0.0479 1
Cl16 0.6312 0.1571 0.7327 1
Cl17 0.6571 0.1312 0.2327 1
Cl18 0.7327 0.6312 0.1571 1
Cl19 0.7370 0.2541 0.3501 1
Cl20 0.7541 0.2370 0.8501 1
Cl21 0.8373 0.4229 0.4328 1
Cl22 0.8501 0.7541 0.2370 1
Cl23 0.9229 0.3373 0.9328 1
Cl24 0.9328 0.9229 0.3373 1
```

Peak list (10 most intense, 10 to 80 degrees two-theta, in order of rising 2θ)
d 8.437, 2θ 10.49, I 1000
d 6.471, 2θ 13.68, I 334
d 5.822, 2θ 15.22, I 135
d 5.020, 2θ 17.67, I 333
d 4.022, 2θ 22.10, I 505
d 3.361, 2θ 26.52, I 198
d 3.212, 2θ 27.77, I 159
d 2.797, 2θ 32.00, I 265
d 2.782, 2θ 32.18, I 191
d 2.642, 2θ 33.93, I 155

Entry 7:
This entry pairs a crystal structure of TmTlFe2Cl8 with its simulated powder diffraction line list. Radiation: Cu Ka. Structure: a PBE-relaxed structure.
Intensities are scaled so that the largest is 1000.

Structure:
```
data_TmTlFe2Cl8
_chemical_formula_sum 'Tm1 Tl1 Fe2 Cl8'
_cell_length_a 10.2865
_cell_length_b 10.2865
_cell_length_c 10.2865
_cell_angle_alpha 36.50
_cell_angle_beta 36.50
_cell_angle_gamma 36.50
_space_group_name_H-M_alt 'P 1'
_space_group_IT_number 1
_space_group_name_Hall 'P 1'
loop_
_atom_site_label
_atom_site_fract_x
_atom_site_fract_y
_atom_site_fract_z
_atom_site_occupancy
Tm1 0.0000 0.0000 0.0000 1
Tl1 0.5000 0.5000 0.5000 1
Fe1 0.2536 0.2536 0.2536 1
Fe2 0.7464 0.7464 0.7464 1
Cl1 0.0612 0.3784 0.7213 1
Cl2 0.1764 0.1764 0.1764 1
Cl3 0.2787 0.9388 0.6216 1
Cl4 0.3784 0.7213 0.0612 1
Cl5 0.6216 0.2787 0.9388 1
Cl6 0.7213 0.0612 0.3784 1
Cl7 0.8236 0.8236 0.8236 1
Cl8 0.9388 0.6216 0.2787 1
```

Peak list (10 most intense, 10 to 80 degrees two-theta, in order of rising 2θ)
d 5.202, 2θ 17.04, I 281
d 4.409, 2θ 20.14, I 1000
d 3.222, 2θ 27.69, I 438
d 3.054, 2θ 29.24, I 189
d 3.023, 2θ 29.55, I 325
d 2.674, 2θ 33.51, I 422
d 2.601, 2θ 34.48, I 275
d 2.024, 2θ 44.78, I 258
d 1.923, 2θ 47.26, I 372
d 1.860, 2θ 48.97, I 254

Entry 8:
This entry pairs a crystal structure of Fe2WCl with its simulated powder diffraction line list. Radiation: Cu Ka. Structure: a PBE-relaxed structure.
Intensities are scaled so that the largest is 1000.

Structure:
```
data_Fe2WCl
_chemical_formula_sum 'Fe2 W1 Cl1'
_cell_length_a 2.9488
_cell_length_b 3.0557
_cell_length_c 6.6268
_cell_angle_alpha 90.00
_cell_angle_beta 90.00
_cell_angle_gamma 90.00
_space_group_name_H-M_alt 'P 1'
_space_group_IT_number 1
_space_group_name_Hall 'P 1'
loop_
_atom_site_label
_atom_site_fract_x
_atom_site_fract_y
_atom_site_fract_z
_atom_site_occupancy
Fe1 0.0000 0.0000 0.2032 1
Fe2 0.0000 0.0000 0.7968 1
W1 0.5000 0.5000 0.0000 1
Cl1 0.5000 0.0000 0.5000 1
```

Peak list (10 most intense, 10 to 80 degrees two-theta, in order of rising 2θ)
d 6.627, 2θ 13.36, I 1000
d 2.775, 2θ 32.26, I 266
d 2.694, 2θ 33.26, I 90
d 2.246, 2θ 40.14, I 263
d 2.203, 2θ 40.97, I 408
d 2.122, 2θ 42.61, I 260
d 2.021, 2θ 44.85, I 399
d 1.790, 2θ 51.02, I 202
d 1.768, 2θ 51.71, I 120
d 1.255, 2θ 75.77, I 130